No. 1
Computed X-ray diffraction stick pattern of Rb3Ag4Sb4 for copper Kα, from a cell relaxed with GGA-PBE.
Intensities are scaled so that the largest is 100.

```
Rb3Ag4Sb4
1.0
-2.443 2.574 13.951
2.443 -2.574 13.951
2.443 2.574 -13.951
Rb Ag Sb
3 4 4
Cartesian
0.000 0.000 0.000 Rb
2.443 0.000 4.180 Rb
0.000 2.574 9.771 Rb
0.000 0.000 6.964 Ag
2.443 0.000 11.196 Ag
0.000 2.574 2.754 Ag
0.000 0.000 20.938 Ag
2.443 0.000 8.412 Sb
0.000 0.000 12.540 Sb
0.000 0.000 15.362 Sb
0.000 2.574 5.539 Sb
```

Principal peaks in the range 15 to 90 degrees two-theta, in order of rising 2θ:
Position (°2θ)  I/Imax
17.52  23.0
28.27  100.0
34.26  20.4
34.86  32.6
36.79  28.1
40.05  16.2
41.18  25.9
47.07  16.9
49.68  14.0
51.58  20.7

=====

No. 2
Computed X-ray diffraction stick pattern of RbAg5Sb2 for copper Kα, from a cell relaxed with GGA-PBE.
Intensities are scaled so that the largest is 100.

```
RbAg5Sb2
1.0
-2.366 3.964 5.387
2.366 -3.964 5.387
2.366 3.964 -5.387
Rb Ag Sb
1 5 2
Cartesian
0.000 0.000 0.000 Rb
2.366 2.574 -1.559 Ag
2.366 2.574 1.559 Ag
0.000 3.964 0.000 Ag
0.000 1.389 3.828 Ag
0.000 1.389 6.947 Ag
2.366 0.000 2.664 Sb
0.000 3.964 2.723 Sb
```

Principal peaks in the range 15 to 90 degrees two-theta, in order of rising 2θ:
Position (°2θ)  I/Imax
27.50  19.5
30.57  70.0
31.27  100.0
38.04  59.4
39.04  70.4
40.17  51.1
40.49  56.8
42.47  21.5
42.63  22.7
56.76  40.7

=====

No. 3
Computed X-ray diffraction stick pattern of RbAg2SbSe4 for copper Kα, from a cell relaxed with GGA-PBE.
Intensities are scaled so that the largest is 100.

```
RbAg2SbSe4
1.0
-3.602 3.602 4.766
3.602 -3.602 4.766
3.602 3.602 -4.766
Rb Ag Sb Se
1 2 1 4
Cartesian
0.000 0.000 0.000 Rb
3.602 0.000 2.383 Ag
0.000 3.602 2.383 Ag
0.000 0.000 4.766 Sb
1.443 -1.443 3.256 Se
2.159 2.159 1.510 Se
-1.443 1.443 3.256 Se
1.443 1.443 6.275 Se
```

Principal peaks in the range 15 to 90 degrees two-theta, in order of rising 2θ:
Position (°2θ)  I/Imax
15.42  10.4
25.60  100.0
29.26  12.8
35.23  36.0
44.05  44.6
45.65  30.3
50.68  8.5
61.11  7.4
70.57  11.1
80.26  8.8

=====

No. 4
Computed X-ray diffraction stick pattern of Rb2AgSe4 for copper Kα, from a cell relaxed with GGA-PBE.
Intensities are scaled so that the largest is 100.

```
Rb2AgSe4
1.0
-5.266 6.812 3.474
5.266 -6.812 3.474
5.266 6.812 -3.474
Rb Ag Se
4 2 8
Cartesian
2.116 1.770 0.000 Rb
2.116 -1.770 3.474 Rb
3.149 8.582 0.000 Rb
3.149 5.042 3.474 Rb
5.266 0.000 1.737 Ag
0.000 6.812 1.737 Ag
6.528 1.577 0.000 Se
8.893 1.709 0.000 Se
3.627 5.103 0.000 Se
1.262 5.235 0.000 Se
4.003 1.577 3.474 Se
1.639 1.709 3.474 Se
-3.627 5.103 3.474 Se
-1.262 5.235 3.474 Se
```

Principal peaks in the range 15 to 90 degrees two-theta, in order of rising 2θ:
Position (°2θ)  I/Imax
21.32  43.6
25.65  53.4
26.19  90.0
30.84  42.2
31.28  40.4
31.43  58.6
36.96  100.0
41.63  29.3
51.15  32.2
53.85  25.7